No. 1
Diffraction record for Mn2NiPd6. The XRD peak list is simulated, not measured: it uses a DFT-relaxed cell (PBE, Alexandria) and a wavelength of 1.5418 Å.
Lines closer than 0.1° are merged.

Cell and atoms:
```
data_Mn2NiPd6
_chemical_formula_sum 'Mn2 Ni1 Pd6'
_symmetry_space_group_name_H-M 'P 1'
_symmetry_Int_Tables_number 1
_cell_length_a 8.2144
_cell_length_b 6.2472
_cell_length_c 6.0147
_cell_angle_alpha 84.10
_cell_angle_beta 49.16
_cell_angle_gamma 46.75
loop_
_symmetry_equiv_pos_as_xyz
'x,y,z'
loop_
_atom_site_label
_atom_site_fract_x
_atom_site_fract_y
_atom_site_fract_z
Mn1 0.1582 0.1582 0.8418
Mn2 0.8418 0.8418 0.1582
Ni1 0.5000 0.5000 0.5000
Pd1 0.1616 0.8384 0.1616
Pd2 0.1744 0.4914 0.5086
Pd3 0.4914 0.1744 0.8256
Pd4 0.5086 0.8256 0.1744
Pd5 0.8256 0.5086 0.4914
Pd6 0.8384 0.1616 0.8384
```

The 12 most intense peaks (10 to 80 degrees two-theta), low angle first:
15.59°, intensity 4
31.48°, intensity 4
33.09°, intensity 8
40.16°, intensity 100
45.91°, intensity 17
46.18°, intensity 17
48.02°, intensity 14
56.73°, intensity 2
66.65°, intensity 3
67.16°, intensity 10
68.61°, intensity 9
68.82°, intensity 9

---

No. 2
Diffraction record for NaCd12Au7. The XRD peak list is simulated, not measured: it uses a DFT-relaxed cell (PBE, Alexandria) and a wavelength of 1.5418 Å.
Lines closer than 0.1° are merged.

Cell and atoms:
```
data_NaCd12Au7
_chemical_formula_sum 'Na1 Cd12 Au7'
_symmetry_space_group_name_H-M 'P 1'
_symmetry_Int_Tables_number 1
_cell_length_a 8.6638
_cell_length_b 8.6638
_cell_length_c 8.6638
_cell_angle_alpha 112.00
_cell_angle_beta 112.00
_cell_angle_gamma 112.00
loop_
_symmetry_equiv_pos_as_xyz
'x,y,z'
loop_
_atom_site_label
_atom_site_fract_x
_atom_site_fract_y
_atom_site_fract_z
Na1 0.0000 0.0000 0.0000
Cd1 0.0000 0.2641 0.7359
Cd2 0.0000 0.7359 0.2641
Cd3 0.1259 0.4504 0.4504
Cd4 0.2641 0.0000 0.7359
Cd5 0.2641 0.7359 0.0000
Cd6 0.4504 0.1259 0.4504
Cd7 0.4504 0.4504 0.1259
Cd8 0.5496 0.5496 0.8741
Cd9 0.5496 0.8741 0.5496
Cd10 0.7359 0.0000 0.2641
Cd11 0.7359 0.2641 0.0000
Cd12 0.8741 0.5496 0.5496
Au1 0.1607 0.1607 0.5006
Au2 0.1607 0.5006 0.1607
Au3 0.4994 0.8393 0.8393
Au4 0.5000 0.5000 0.5000
Au5 0.5006 0.1607 0.1607
Au6 0.8393 0.4994 0.8393
Au7 0.8393 0.8393 0.4994
```

The 12 most intense peaks (10 to 80 degrees two-theta), low angle first:
18.52°, intensity 44
31.12°, intensity 21
33.59°, intensity 25
35.32°, intensity 36
35.85°, intensity 20
37.56°, intensity 100
39.66°, intensity 27
42.16°, intensity 48
43.64°, intensity 16
57.72°, intensity 20
67.78°, intensity 17
70.91°, intensity 32